Diffraction record for RbBeAsO4. The powder diffraction line list is theoretical, not measured: it uses a PBE-relaxed structure and Cu Ka.
Peak positions follow from Bragg's law for the DFT cell and can differ from measured ones.

Cell and atoms:
a = 5.396 Å, b = 5.396 Å, c = 7.550 Å
α = 90.00°, β = 90.00°, γ = 90.00°
Space group I-4 (No. 82)
Inequivalent atoms, fractional coordinates:
Rb 0.000 0.000 0.000 [2 per cell]
Be 0.000 0.000 0.500 [2 per cell]
As 0.000 0.500 0.750 [2 per cell]
O 0.070 0.245 0.624 [8 per cell]

Most intense lines, 10 to 90 degrees two-theta, by angle:
| 2theta | intensity | index |
| --- | --- | --- |
| 20.23 | 100.0 | 1 0 1 |
| 33.20 | 27.3 | 2 0 0 |
| 33.39 | 64.1 | 1 1 2 |
| 39.19 | 38.4 | 2 1 1 |
| 39.51 | 18.2 | 1 0 3 |
| 52.54 | 15.9 | 1 2 3 |
| 59.44 | 23.0 | 1 3 2 |
| 59.80 | 12.5 | 2 0 4 |
| 63.35 | 8.7 | 3 2 1 |
| 70.14 | 9.8 | 2 2 4 |